Diffraction record for SrMg. The XRD peak list is computed, not measured: it uses a crystal structure in the Materials Project, relaxed with GGA-PBE and a wavelength of 1.5418 Å.
No peak broadening, texture or thermal motion is included.

Peak list (10 most intense, 5 to 70 degrees two-theta, in order of rising 2θ)
Position (°2θ), I/Imax
19.28, 19.8
25.81, 30.0
26.43, 26.1
29.69, 35.3
29.84, 100.0
32.76, 41.1
39.74, 18.9
43.34, 18.0
52.78, 19.6
55.37, 17.9

Structure:
```
data_SrMg
_cell_length_a 6.018
_cell_length_b 4.176
_cell_length_c 18.410
_cell_angle_alpha 90.00
_cell_angle_beta 90.00
_cell_angle_gamma 90.00
_symmetry_space_group_name_H-M 'A m m 2'
_symmetry_Int_Tables_number 38
loop_
_symmetry_equiv_pos_as_xyz
'x,y,z'
'-x,-y,z'
'-x,y,z'
'x,-y,z'
'x,y+1/2,z+1/2'
'-x,-y+1/2,z+1/2'
'-x,y+1/2,z+1/2'
'x,-y+1/2,z+1/2'
loop_
_atom_site_label
_atom_site_fract_x
_atom_site_fract_y
_atom_site_fract_z
Sr1 0.000 0.000 0.000
Sr2 0.000 0.000 0.316
Sr3 0.500 0.000 0.554
Mg1 0.000 0.000 0.659
Mg2 0.500 0.000 0.215
Mg3 0.500 0.000 0.875
```